For PmFe6B3, a crystal structure in Alexandria, relaxed with PBE gives the calculated XRD peak list in this record (Cu Kα (λ = 1.5418 Å)).
Peak positions follow from Bragg's law for the DFT cell and can differ from measured ones.

Structure:
a b c (Å): 5.0339 5.2060 5.5606
angles (deg): 87.29 63.98 61.51
Fractional positions:
Pm1 0.0000 0.0000 0.0000
Fe1 0.1007 0.4711 0.7842
Fe2 0.2553 0.1216 0.3997
Fe3 0.2936 0.5982 0.3187
Fe4 0.6428 0.4635 0.7743
Fe5 0.6855 0.9547 0.6651
Fe6 0.7890 0.5880 0.3230
B1 0.3119 0.3278 0.0441
B2 0.5716 0.3271 0.4863
B3 0.5926 0.7609 0.0481

Main lines, by angle (15° ≤ 2θ ≤ 90°):
| Position (°2θ) | d (Å) | Rel. int. |
| --- | --- | --- |
| 32.32 | 2.770 | 50 |
| 32.73 | 2.736 | 49 |
| 35.63 | 2.520 | 48 |
| 38.14 | 2.359 | 50 |
| 40.28 | 2.239 | 59 |
| 40.63 | 2.220 | 39 |
| 40.76 | 2.214 | 87 |
| 40.95 | 2.204 | 100 |
| 41.34 | 2.184 | 91 |
| 45.78 | 1.982 | 42 |

=====

For Li6Mg2Al3, a crystal structure in Alexandria, relaxed with PBE gives the calculated XRD peak list in this record (Cu Kα (λ = 1.5418 Å)).
Peak positions follow from Bragg's law for the DFT cell and can differ from measured ones.

Structure:
a b c (Å): 8.9938 8.9938 2.9317
angles (deg): 90.00 90.00 100.98
Fractional positions:
Li1 0.1142 0.1142 0.0000
Li2 0.1672 0.5121 0.0000
Li3 0.4879 0.8328 0.0000
Li4 0.5121 0.1672 0.0000
Li5 0.8328 0.4879 0.0000
Li6 0.8858 0.8858 0.0000
Mg1 0.1722 0.8278 0.5000
Mg2 0.8278 0.1722 0.5000
Al1 0.3065 0.3065 0.5000
Al2 0.5000 0.5000 0.0000
Al3 0.6935 0.6935 0.5000

Main lines, by angle (15° ≤ 2θ ≤ 90°):
| Position (°2θ) | d (Å) | Rel. int. |
| --- | --- | --- |
| 20.11 | 4.415 | 23 |
| 20.71 | 4.289 | 100 |
| 24.20 | 3.678 | 26 |
| 36.80 | 2.442 | 74 |
| 37.15 | 2.420 | 26 |
| 38.94 | 2.313 | 39 |
| 39.30 | 2.293 | 52 |
| 43.39 | 2.085 | 36 |
| 44.16 | 2.051 | 43 |
| 51.26 | 1.782 | 26 |

=====

For SmGa4Au4, a crystal structure in Alexandria, relaxed with PBE gives the calculated XRD peak list in this record (Cu Kα (λ = 1.5418 Å)).
Peak positions follow from Bragg's law for the DFT cell and can differ from measured ones.

Structure:
a b c (Å): 6.2286 6.2286 9.0853
angles (deg): 90.00 90.00 90.00
Fractional positions:
Sm1 0.2500 0.7500 0.2500
Sm2 0.7500 0.2500 0.7500
Ga1 0.0367 0.2500 0.1584
Ga2 0.2500 0.0367 0.6584
Ga3 0.2500 0.4633 0.6584
Ga4 0.4633 0.2500 0.1584
Ga5 0.5367 0.7500 0.8416
Ga6 0.7500 0.5367 0.3416
Ga7 0.7500 0.9633 0.3416
Ga8 0.9633 0.7500 0.8416
Au1 0.0170 0.2500 0.4484
Au2 0.2500 0.0170 0.9484
Au3 0.2500 0.4830 0.9484
Au4 0.4830 0.2500 0.4484
Au5 0.5170 0.7500 0.5516
Au6 0.7500 0.5170 0.0516
Au7 0.7500 0.9830 0.0516
Au8 0.9830 0.7500 0.5516

Main lines, by angle (15° ≤ 2θ ≤ 90°):
| Position (°2θ) | d (Å) | Rel. int. |
| --- | --- | --- |
| 19.54 | 4.543 | 26 |
| 30.34 | 2.946 | 100 |
| 32.89 | 2.724 | 49 |
| 33.65 | 2.663 | 80 |
| 40.98 | 2.202 | 51 |
| 41.60 | 2.171 | 63 |
| 42.36 | 2.134 | 36 |
| 45.79 | 1.982 | 41 |
| 59.35 | 1.557 | 28 |
| 68.16 | 1.376 | 46 |

=====

For K2TlTcO4, a crystal structure in Alexandria, relaxed with PBE gives the calculated XRD peak list in this record (Cu Kα (λ = 1.5418 Å)).
Peak positions follow from Bragg's law for the DFT cell and can differ from measured ones.

Structure:
a b c (Å): 6.1130 5.9738 6.2888
angles (deg): 59.74 57.57 62.69
Fractional positions:
K1 0.0000 0.0000 0.5000
K2 0.5000 0.5000 0.0000
Tl1 0.2708 0.2708 0.7292
Tc1 0.7357 0.7357 0.2643
O1 0.0020 0.6233 0.3767
O2 0.4625 0.8607 0.5375
O3 0.6233 0.0020 0.9980
O4 0.8607 0.4625 0.1393

Main lines, by angle (15° ≤ 2θ ≤ 90°):
| Position (°2θ) | d (Å) | Rel. int. |
| --- | --- | --- |
| 17.80 | 4.984 | 28 |
| 19.55 | 4.540 | 46 |
| 20.41 | 4.351 | 40 |
| 21.71 | 4.093 | 44 |
| 28.41 | 3.142 | 80 |
| 29.38 | 3.040 | 94 |
| 29.97 | 2.981 | 100 |
| 50.53 | 1.806 | 39 |
| 51.66 | 1.769 | 36 |
| 53.43 | 1.715 | 33 |

=====

For Ca8Zn2Cd, a crystal structure in Alexandria, relaxed with PBE gives the calculated XRD peak list in this record (Cu Kα (λ = 1.5418 Å)).
Peak positions follow from Bragg's law for the DFT cell and can differ from measured ones.

Structure:
a b c (Å): 9.2138 9.2138 9.2138
angles (deg): 147.30 120.71 69.37
Fractional positions:
Ca1 0.1240 0.3368 0.7872
Ca2 0.1360 0.1360 0.0000
Ca3 0.3183 0.0000 0.3183
Ca4 0.4503 0.6632 0.7872
Ca5 0.5497 0.3368 0.2128
Ca6 0.6817 0.0000 0.6817
Ca7 0.8640 0.8640 0.0000
Ca8 0.8760 0.6632 0.2128
Zn1 0.3042 0.8042 0.5000
Zn2 0.6958 0.1958 0.5000
Cd1 0.0000 0.5000 0.5000

Main lines, by angle (15° ≤ 2θ ≤ 90°):
| Position (°2θ) | d (Å) | Rel. int. |
| --- | --- | --- |
| 19.69 | 4.508 | 17 |
| 20.10 | 4.418 | 16 |
| 30.00 | 2.979 | 15 |
| 30.83 | 2.900 | 32 |
| 31.57 | 2.834 | 100 |
| 34.58 | 2.594 | 26 |
| 35.55 | 2.525 | 15 |
| 50.44 | 1.809 | 10 |
| 53.51 | 1.713 | 10 |
| 60.09 | 1.540 | 14 |

=====

For SrTlCuO4, a crystal structure in Alexandria, relaxed with PBE gives the calculated XRD peak list in this record (Cu Kα (λ = 1.5418 Å)).
Peak positions follow from Bragg's law for the DFT cell and can differ from measured ones.

Structure:
a b c (Å): 5.9594 5.7394 6.6888
angles (deg): 90.00 108.15 90.00
Fractional positions:
Sr1 0.2316 0.2500 0.4378
Sr2 0.7684 0.7500 0.5622
Tl1 0.3123 0.2500 0.9522
Tl2 0.6877 0.7500 0.0478
Cu1 0.2357 0.7500 0.1827
Cu2 0.7643 0.2500 0.8173
O1 0.0006 0.7500 0.9292
O2 0.0265 0.7500 0.3415
O3 0.4801 0.5186 0.2292
O4 0.4801 0.9814 0.2292
O5 0.5199 0.0186 0.7708
O6 0.5199 0.4814 0.7708
O7 0.9735 0.2500 0.6585
O8 0.9994 0.2500 0.0708

Main lines, by angle (15° ≤ 2θ ≤ 90°):
| Position (°2θ) | d (Å) | Rel. int. |
| --- | --- | --- |
| 20.85 | 4.260 | 29 |
| 22.05 | 4.031 | 100 |
| 31.17 | 2.870 | 69 |
| 31.60 | 2.832 | 27 |
| 31.76 | 2.818 | 41 |
| 32.20 | 2.780 | 39 |
| 34.17 | 2.624 | 40 |
| 38.71 | 2.326 | 63 |
| 39.82 | 2.264 | 64 |
| 44.98 | 2.016 | 34 |